# Ca5Tl2Sb
Calculated powder XRD pattern, a wavelength of 1.5418 Å. Input: a cell relaxed with GGA-PBE.
Intensities are scaled so that the largest is 100.

Cell and atoms:
```
data_Ca5Tl2Sb
_chemical_formula_sum 'Ca20 Tl8 Sb4'
_symmetry_space_group_name_H-M 'I 4/m c m'
_symmetry_Int_Tables_number 140
_symmetry_space_group_name_Hall '-I 4 2c'
_cell_length_a 8.433
_cell_length_b 8.433
_cell_length_c 14.312
_cell_angle_alpha 90.00
_cell_angle_beta 90.00
_cell_angle_gamma 90.00
loop_
_atom_site_label
_atom_site_type_symbol
_atom_site_fract_x
_atom_site_fract_y
_atom_site_fract_z
_atom_site_occupancy
Ca1 Ca 0.000 0.000 0.000 1
Ca2 Ca 0.166 0.334 0.147 1
Tl1 Tl 0.130 0.370 0.500 1
Sb1 Sb 0.000 0.000 0.250 1
```

Largest 10 diffraction maxima, by intensity, 2θ = 10–80°:
hkl, two_theta, intensity
2 1 3, 30.21, 100
1 1 2, 19.38, 55
2 1 1, 24.42, 48
3 1 0, 33.61, 47
0 0 2, 12.37, 43
2 1 5, 39.52, 26
3 1 4, 42.27, 22
4 0 2, 44.82, 21
0 0 4, 24.88, 21
3 2 1, 39.02, 19